Starting from a DFT-relaxed cell (GGA-PBE, Alexandria), the powder diffraction line list of Dy6ThSc3 was simulated for copper Kα.
No peak broadening, texture or thermal motion is included.

Structural model:
Unit cell a=6.7096 b=6.7096 c=6.7096 alpha=91.34 beta=91.34 gamma=91.34
Element x y z (fractional)
Dy  0.0000  0.3401  0.6599
Dy  0.1622  0.8378  0.5000
Dy  0.3401  0.6599  0.0000
Dy  0.5000  0.1622  0.8378
Dy  0.6599  0.0000  0.3401
Dy  0.8378  0.5000  0.1622
Th  0.0000  0.0000  0.0000
Sc  0.2634  0.2634  0.2634
Sc  0.5000  0.5000  0.5000
Sc  0.7366  0.7366  0.7366

Top 10 peaks for 2θ from 5° to 70°, by angle:
13.20°, d 6.706, intensity 12; 30.08°, d 2.971, intensity 100; 32.31°, d 2.771, intensity 98; 42.96°, d 2.106, intensity 7; 44.72°, d 2.026, intensity 34; 48.11°, d 1.891, intensity 8; 56.24°, d 1.636, intensity 34; 57.62°, d 1.600, intensity 19; 59.15°, d 1.562, intensity 27; 67.62°, d 1.385, intensity 11

Starting from a DFT-relaxed cell (GGA-PBE, Alexandria), the powder diffraction line list of Sc12Co6Pt was simulated for copper Kα.
No peak broadening, texture or thermal motion is included.

Structural model:
Unit cell a=7.6871 b=7.6871 c=7.6871 alpha=109.47 beta=109.47 gamma=109.47
Element x y z (fractional)
Sc  0.0964  0.8047  0.2916
Sc  0.1953  0.2916  0.4869
Sc  0.1953  0.7084  0.9036
Sc  0.2916  0.0964  0.8047
Sc  0.2916  0.4869  0.1953
Sc  0.4869  0.1953  0.2916
Sc  0.5131  0.8047  0.7084
Sc  0.7084  0.5131  0.8047
Sc  0.7084  0.9036  0.1953
Sc  0.8047  0.2916  0.0964
Sc  0.8047  0.7084  0.5131
Sc  0.9036  0.1953  0.7084
Co  0.1213  0.6213  0.5000
Co  0.3787  0.5000  0.8787
Co  0.5000  0.1213  0.6213
Co  0.5000  0.8787  0.3787
Co  0.6213  0.5000  0.1213
Co  0.8787  0.3787  0.5000
Pt  0.0000  0.0000  0.0000

Top 10 peaks for 2θ from 5° to 70°, by angle:
20.01°, d 4.438, intensity 42; 24.57°, d 3.624, intensity 22; 35.02°, d 2.562, intensity 41; 37.93°, d 2.372, intensity 100; 40.66°, d 2.219, intensity 23; 43.24°, d 2.092, intensity 22; 52.57°, d 1.741, intensity 39; 60.85°, d 1.522, intensity 12; 64.74°, d 1.440, intensity 21; 68.51°, d 1.370, intensity 14

Starting from a DFT-relaxed cell (GGA-PBE, Alexandria), the powder diffraction line list of La5Dy2YTh was simulated for copper Kα.
No peak broadening, texture or thermal motion is included.

Structural model:
Unit cell a=11.2472 b=11.2472 c=10.6896 alpha=90.00 beta=90.00 gamma=151.62
Element x y z (fractional)
La  0.0000  0.0000  0.0000
La  0.0000  0.0000  0.5000
La  0.1276  0.8724  0.7500
La  0.2239  0.7761  0.0575
La  0.2239  0.7761  0.4425
La  0.4980  0.5020  0.2500
La  0.5020  0.4980  0.7500
La  0.7761  0.2239  0.5575
La  0.7761  0.2239  0.9425
La  0.8724  0.1276  0.2500
Dy  0.3882  0.6118  0.5074
Dy  0.3882  0.6118  0.9926
Dy  0.6118  0.3882  0.0074
Dy  0.6118  0.3882  0.4926
Y  0.1025  0.8975  0.2500
Y  0.8975  0.1025  0.7500
Th  0.2875  0.7125  0.7500
Th  0.7125  0.2875  0.2500

Top 10 peaks for 2θ from 5° to 70°, by angle:
26.26°, d 3.394, intensity 14; 30.14°, d 2.965, intensity 19; 31.04°, d 2.881, intensity 100; 32.35°, d 2.767, intensity 13; 32.47°, d 2.757, intensity 32; 33.53°, d 2.672, intensity 20; 47.37°, d 1.919, intensity 15; 47.67°, d 1.908, intensity 10; 57.04°, d 1.615, intensity 19; 60.20°, d 1.537, intensity 10

Starting from a DFT-relaxed cell (GGA-PBE, Alexandria), the powder diffraction line list of Na4Al3Si3BH4O12 was simulated for copper Kα.
No peak broadening, texture or thermal motion is included.

Structural model:
Unit cell a=8.9564 b=8.9564 c=8.9564 alpha=90.00 beta=90.00 gamma=90.00
Element x y z (fractional)
Na  0.1757  0.1757  0.1757
Na  0.1757  0.8243  0.8243
Na  0.3243  0.3243  0.6757
Na  0.3243  0.6757  0.3243
Na  0.6757  0.3243  0.3243
Na  0.6757  0.6757  0.6757
Na  0.8243  0.1757  0.8243
Na  0.8243  0.8243  0.1757
Al  0.0000  0.2500  0.5000
Al  0.0000  0.7500  0.5000
Al  0.2500  0.5000  0.0000
Al  0.5000  0.0000  0.2500
Al  0.5000  0.0000  0.7500
Al  0.7500  0.5000  0.0000
Si  0.0000  0.5000  0.2500
Si  0.0000  0.5000  0.7500
Si  0.2500  0.0000  0.5000
Si  0.5000  0.2500  0.0000
Si  0.5000  0.7500  0.0000
Si  0.7500  0.0000  0.5000
B  0.0000  0.0000  0.0000
B  0.5000  0.5000  0.5000
H  0.0793  0.0793  0.9207
H  0.0793  0.9207  0.0793
H  0.4207  0.4207  0.4207
H  0.4207  0.5793  0.5793
H  0.5793  0.4207  0.5793
H  0.5793  0.5793  0.4207
H  0.9207  0.0793  0.0793
H  0.9207  0.9207  0.9207
O  0.0639  0.3611  0.6491
O  0.0639  0.6389  0.3509
O  0.1389  0.4361  0.1491
O  0.1389  0.5639  0.8509
O  0.1491  0.1389  0.4361
O  0.1491  0.8611  0.5639
O  0.3509  0.0639  0.6389
O  0.3509  0.9361  0.3611
O  0.3611  0.3509  0.9361
O  0.3611  0.6491  0.0639
O  0.4361  0.1491  0.1389
O  0.4361  0.8509  0.8611
O  0.5639  0.1491  0.8611
O  0.5639  0.8509  0.1389
O  0.6389  0.3509  0.0639
O  0.6389  0.6491  0.9361
O  0.6491  0.0639  0.3611
O  0.6491  0.9361  0.6389
O  0.8509  0.1389  0.5639
O  0.8509  0.8611  0.4361
O  0.8611  0.4361  0.8509
O  0.8611  0.5639  0.1491
O  0.9361  0.3611  0.3509
O  0.9361  0.6389  0.6491

Top 10 peaks for 2θ from 5° to 70°, by angle:
13.98°, d 6.333, intensity 79; 24.34°, d 3.656, intensity 100; 31.59°, d 2.832, intensity 27; 34.70°, d 2.585, intensity 34; 37.58°, d 2.394, intensity 16; 42.84°, d 2.111, intensity 40; 58.28°, d 1.583, intensity 15; 60.25°, d 1.536, intensity 15; 62.19°, d 1.493, intensity 12; 64.09°, d 1.453, intensity 11

Starting from a DFT-relaxed cell (GGA-PBE, Alexandria), the powder diffraction line list of SrZn6Au6 was simulated for copper Kα.
No peak broadening, texture or thermal motion is included.

Structural model:
Unit cell a=7.1176 b=7.1176 c=7.1176 alpha=136.37 beta=99.73 gamma=96.15
Element x y z (fractional)
Sr  0.0000  0.0000  0.0000
Zn  0.0000  0.0000  0.5000
Zn  0.0000  0.5000  0.0000
Zn  0.2378  0.5000  0.7378
Zn  0.5000  0.0000  0.0000
Zn  0.5000  0.5000  0.5000
Zn  0.7622  0.5000  0.2622
Au  0.1881  0.6881  0.5000
Au  0.3408  0.0000  0.3408
Au  0.3452  0.3452  0.0000
Au  0.6548  0.6548  0.0000
Au  0.6592  0.0000  0.6592
Au  0.8119  0.3119  0.5000

Top 10 peaks for 2θ from 5° to 70°, by angle:
27.39°, d 3.256, intensity 25; 32.94°, d 2.719, intensity 100; 33.88°, d 2.646, intensity 71; 38.48°, d 2.339, intensity 74; 38.94°, d 2.313, intensity 58; 39.30°, d 2.292, intensity 67; 42.84°, d 2.111, intensity 41; 43.85°, d 2.065, intensity 88; 44.07°, d 2.055, intensity 35; 69.08°, d 1.360, intensity 23

Starting from a DFT-relaxed cell (GGA-PBE, Alexandria), the powder diffraction line list of Ca4GaSn3 was simulated for copper Kα.
No peak broadening, texture or thermal motion is included.

Structural model:
Unit cell a=4.3989 b=4.7197 c=11.4466 alpha=90.00 beta=90.00 gamma=90.00
Element x y z (fractional)
Ca  0.0000  0.0000  0.0000
Ca  0.0000  0.5000  0.4872
Ca  0.5000  0.0000  0.2624
Ca  0.5000  0.5000  0.7686
Ga  0.0000  0.5000  0.2112
Sn  0.0000  0.0000  0.7141
Sn  0.5000  0.0000  0.5455
Sn  0.5000  0.5000  0.0553

Top 10 peaks for 2θ from 5° to 70°, by angle:
15.48°, d 5.723, intensity 31; 20.35°, d 4.363, intensity 55; 25.54°, d 3.488, intensity 18; 28.82°, d 3.098, intensity 80; 31.26°, d 2.862, intensity 18; 36.53°, d 2.460, intensity 100; 37.49°, d 2.399, intensity 31; 38.14°, d 2.360, intensity 29; 41.04°, d 2.199, intensity 24; 54.55°, d 1.682, intensity 21